Theoretical XRD peak list of V3Cr2Sb3O16 for Cu Kα, from a crystal structure in Alexandria, relaxed with PBE+U.
No peak broadening, texture or thermal motion is included.

Atomic structure:
a b c (Å): 10.6451 6.0527 9.1305
angles (deg): 90.00 90.04 90.00
Space group Cm (No. 8)
Unique sites:
V1 0.0000 0.0000 0.0000 x2
V2 0.4140 0.2502 0.4993 x4
Cr1 0.1610 0.0000 0.7186 x2
Cr2 0.4919 0.0000 0.2234 x2
Sb1 0.1619 0.5000 0.4976 x2
Sb2 0.2493 0.2486 0.9961 x4
O1 0.0645 0.2844 0.3689 x4
O2 0.0962 0.2160 0.8695 x4
O3 0.1656 0.5000 0.1087 x2
O4 0.1727 0.0000 0.1164 x2
O5 0.2480 0.2468 0.6009 x4
O6 0.3101 0.0000 0.8602 x2
O7 0.3293 0.5000 0.8857 x2
O8 0.3310 0.5000 0.3947 x2
O9 0.3595 0.0000 0.3792 x2
O10 0.4133 0.2484 0.1022 x4
O11 0.4949 0.5000 0.5981 x2
O12 0.4975 0.0000 0.6115 x2

Principal peaks in the range 2θ from 5° to 70°, in order of rising 2θ:
2theta	Rel. int.
19.3	28
19.5	100
34.1	21
35.1	19
35.3	19
35.5	43
39.5	24
45.6	28
60.5	16
61.8	17